Starting from a crystal structure in Alexandria, relaxed with PBE+U, the powder X-ray diffraction pattern of SmDyNi4O12 was computed for Cu Kα X-rays.
Intensities are scaled so that the largest is 100.

Structural model:
Cell lengths 7.142, 7.348, 8.043 Å; angles 90.00, 90.00, 90.00 degrees
Space group Cmmm (No. 65)
Asymmetric unit:
Sm  0.000  0.000  0.000 (multiplicity 2)
Dy  0.000  0.500  0.500 (multiplicity 2)
Ni  0.250  0.250  0.250 (multiplicity 8)
O  0.000  0.179  0.243 (multiplicity 8)
O  0.179  0.500  0.263 (multiplicity 8)
O  0.250  0.250  0.000 (multiplicity 4)
O  0.250  0.250  0.500 (multiplicity 4)

Main lines, by intensity (2θ = 10–90°):
hkl	2θ/deg	I/Imax
1 1 1	20.56	100
2 2 0	35.04	41
0 2 2	33.02	36
2 0 2	33.56	34
1 1 3	37.88	19
0 0 4	45.09	19